No. 1
PrBiIr: computed powder diffraction line list (Cu Kα (λ = 1.5418 Å)), based on a structure optimized by DFT (PBE).

Structural model:
```
PrBiIr
1.0
7.7860 0.0000 0.0000
-3.8930 6.7429 0.0000
0.0000 0.0000 4.1700
Pr Bi Ir
3 3 3
Direct
0.0000 0.5944 0.0000
0.4056 0.4056 0.0000
0.5944 0.0000 0.0000
0.0000 0.2602 0.5000
0.2602 0.0000 0.5000
0.7398 0.7398 0.5000
0.0000 0.0000 0.0000
0.3333 0.6667 0.5000
0.6667 0.3333 0.5000
```

The 10 most intense peaks (10 to 80 degrees two-theta), sorted by position:
2θ (°)  intensity
31.44  100
34.20  100
35.21  51
40.12  52
41.53  53
43.40  33
57.07  26
60.57  32
64.22  43
73.73  11

***

No. 2
PrBi2Ir2: computed powder diffraction line list (Cu Kα (λ = 1.5418 Å)), based on a structure optimized by DFT (PBE).

Structural model:
```
PrBi2Ir2
1.0
-2.3467 2.3467 5.5517
2.3467 -2.3467 5.5517
2.3467 2.3467 -5.5517
Pr Bi Ir
1 2 2
Direct
0.0000 0.0000 0.0000
0.2500 0.7500 0.5000
0.7500 0.2500 0.5000
0.3867 0.3867 0.0000
0.6133 0.6133 0.0000
```

The 10 most intense peaks (10 to 80 degrees two-theta), sorted by position:
2θ (°)  intensity
30.77  34
31.40  100
38.36  69
42.45  48
45.17  24
49.95  18
55.37  24
60.71  20
65.05  26
72.17  21

***

No. 3
BiSb2Ir: computed powder diffraction line list (Cu Kα (λ = 1.5418 Å)), based on a structure optimized by DFT (PBE).

Structural model:
```
BiSb2Ir
1.0
0.0000 3.6020 3.6020
3.6020 0.0000 3.6020
3.6020 3.6020 0.0000
Bi Sb Ir
1 2 1
Direct
0.0000 0.0000 0.0000
0.5000 0.5000 0.5000
0.7500 0.7500 0.7500
0.2500 0.2500 0.2500
```

The 9 most intense peaks (10 to 80 degrees two-theta), sorted by position:
2θ (°)  intensity
21.36  6
35.24  100
41.58  4
50.69  18
55.61  2
63.24  37
67.57  1
74.51  12
78.56  1